Record 1
Structure and simulated powder XRD pattern of Ba2GdGaTe5 (a crystal structure in Alexandria, relaxed with GGA-PBE; a wavelength of 1.5418 Å).
Intensities are scaled so that the largest is 100.

Crystal structure
Lattice parameters (Å, degrees): 7.9078 9.3449 10.2129 103.32 103.05 107.34
Space group P-1 (No. 2)
Symmetry-distinct sites (fractional):
Ba: 0.1389 0.4813 0.2926 x2
Ba: 0.1415 0.9840 0.2860 x2
Gd: 0.4990 0.2340 0.9985 x2
Ga: 0.3110 0.3742 0.6885 x2
Te: 0.0138 0.7585 0.5082 x2
Te: 0.1985 0.9080 0.9419 x2
Te: 0.2084 0.4096 0.9295 x2
Te: 0.4885 0.1744 0.6809 x2
Te: 0.4887 0.6611 0.6839 x2

Main lines, low angle first (5 to 70 degrees two-theta):
| 2θ/deg | Rel. int. | index |
| --- | --- | --- |
| 26.05 | 100.0 | 1 2 -1 |
| 27.14 | 48.3 | 1 0 -3 |
| 28.10 | 35.4 | 2 -2 1 |
| 28.21 | 35.1 | 1 2 0 |
| 28.41 | 28.4 | 0 0 3 |
| 31.61 | 25.7 | 1 2 -3 |
| 32.58 | 22.5 | 1 -2 3 |
| 32.68 | 22.4 | 0 2 2 |
| 38.53 | 51.7 | 1 -4 1 |
| 47.78 | 33.8 | 2 -2 4 |


Record 2
Structure and simulated powder XRD pattern of Ba2TiHO3 (a crystal structure in Alexandria, relaxed with GGA-PBE; a wavelength of 1.5418 Å).
Intensities are scaled so that the largest is 100.

Crystal structure
Lattice parameters (Å, degrees): 3.9649 4.1222 13.4803 90.00 90.00 90.00
Space group Immm (No. 71)
Symmetry-distinct sites (fractional):
Ba: 0.0000 0.0000 0.1448 x4
Ti: 0.0000 0.0000 0.5000 x2
H: 0.0000 0.5000 0.0000 x2
O: 0.0000 0.0000 0.3525 x4
O: 0.0000 0.5000 0.5000 x2

Main lines, low angle first (5 to 70 degrees two-theta):
| 2θ/deg | Rel. int. | index |
| --- | --- | --- |
| 22.56 | 24.4 | 0 1 1 |
| 26.45 | 27.0 | 0 0 4 |
| 29.40 | 64.1 | 0 1 3 |
| 30.06 | 77.4 | 1 0 3 |
| 31.30 | 100.0 | 1 1 0 |
| 41.43 | 44.9 | 1 1 4 |
| 43.93 | 23.2 | 0 2 0 |
| 51.76 | 23.8 | 1 1 6 |
| 54.15 | 29.2 | 1 2 3 |
| 55.34 | 22.3 | 2 1 3 |